For K2EuAgCl6, a PBE-relaxed structure gives the simulated X-ray diffraction stick pattern in this record (Cu Kα X-rays).
Neutral-atom scattering factors, no anomalous dispersion.

Crystal structure
```
data_K2EuAgCl6
_chemical_formula_sum 'K8 Eu4 Ag4 Cl24'
_cell_length_a 10.749
_cell_length_b 10.749
_cell_length_c 10.749
_cell_angle_alpha 90.00
_cell_angle_beta 90.00
_cell_angle_gamma 90.00
_symmetry_space_group_name_H-M 'F m -3 m'
_symmetry_Int_Tables_number 225
_symmetry_space_group_name_Hall '-F 4 2 3'
loop_
_atom_site_label
_atom_site_type_symbol
_atom_site_fract_x
_atom_site_fract_y
_atom_site_fract_z
K1 K 0.250 0.250 0.250
Eu1 Eu 0.000 0.000 0.000
Ag1 Ag 0.000 0.000 0.500
Cl1 Cl 0.000 0.000 0.253
```

Principal peaks in the range 10° ≤ 2θ ≤ 90°, by angle:
5.374 Å, 2θ = 16.5°, I = 100, (2 0 0)
3.800 Å, 2θ = 23.4°, I = 100, (2 2 0)
2.687 Å, 2θ = 33.3°, I = 86, (4 0 0)
2.404 Å, 2θ = 37.4°, I = 52, (4 2 0)
2.194 Å, 2θ = 41.1°, I = 46, (4 2 2)
1.900 Å, 2θ = 47.9°, I = 57, (4 4 0)
1.791 Å, 2θ = 51.0°, I = 26, (6 0 0)
1.700 Å, 2θ = 54.0°, I = 20, (6 2 0)
1.551 Å, 2θ = 59.6°, I = 19, (4 4 4)
1.436 Å, 2θ = 64.9°, I = 23, (6 4 2)
1.202 Å, 2θ = 79.8°, I = 24, (8 4 0)
1.097 Å, 2θ = 89.3°, I = 19, (8 4 4)